# Mn10CoN8
Computed PXRD pattern, λ = 1.5418 Å (Cu Kα). Input: a DFT-relaxed cell (PBE, the Materials Project).
Peak positions follow from Bragg's law for the DFT cell and can differ from measured ones.

Cell and atoms:
a b c (Å): 8.527 8.527 6.747
angles (deg): 112.41 112.41 26.74
Sites, in units of the cell vectors:
Mn 0.002 0.002 0.242
Mn 0.183 0.183 0.179
Mn 0.196 0.196 0.697
Mn 0.370 0.370 0.622
Mn 0.374 0.374 0.122
Mn 0.626 0.626 0.878
Mn 0.630 0.630 0.378
Mn 0.804 0.804 0.303
Mn 0.817 0.817 0.821
Mn 0.998 0.998 0.758
Co 0.500 0.500 0.500
N 0.128 0.128 0.888
N 0.133 0.133 0.373
N 0.303 0.303 0.302
N 0.498 0.498 0.770
N 0.502 0.502 0.230
N 0.697 0.697 0.698
N 0.867 0.867 0.627
N 0.872 0.872 0.112

Peak list (10 most intense, 10 to 90 degrees two-theta, sorted by position)
two_theta, d (Å), I (rel.)
28.8, 3.103, 38
29.1, 3.067, 35
35.3, 2.545, 65
37.2, 2.414, 56
39.2, 2.301, 100
39.6, 2.278, 96
46.0, 1.972, 78
54.4, 1.687, 42
59.3, 1.559, 28
73.9, 1.282, 30